# 1
# Tb2N3
Simulated powder diffraction line list, Cu Kα, 1.54184 Å. Input: a GGA-PBE-relaxed structure.
No peak broadening, texture or thermal motion is included.

Crystal structure
```
data_Tb2N3
_cell_length_a 9.4700
_cell_length_b 9.4700
_cell_length_c 9.4700
_cell_angle_alpha 109.47
_cell_angle_beta 109.47
_cell_angle_gamma 109.47
_symmetry_space_group_name_H-M 'P 1'
_symmetry_Int_Tables_number 1
_symmetry_space_group_name_Hall 'P 1'
loop_
_atom_site_label
_atom_site_type_symbol
_atom_site_fract_x
_atom_site_fract_y
_atom_site_fract_z
Tb1 Tb 0.0000 0.0000 0.5000
Tb2 Tb 0.0000 0.5000 0.0000
Tb3 Tb 0.0291 0.7500 0.7791
Tb4 Tb 0.2209 0.9709 0.2500
Tb5 Tb 0.2500 0.2209 0.9709
Tb6 Tb 0.2500 0.7209 0.4709
Tb7 Tb 0.2791 0.5291 0.7500
Tb8 Tb 0.4709 0.2500 0.7209
Tb9 Tb 0.5000 0.0000 0.0000
Tb10 Tb 0.5000 0.5000 0.5000
Tb11 Tb 0.5291 0.7500 0.2791
Tb12 Tb 0.7209 0.4709 0.2500
Tb13 Tb 0.7500 0.2791 0.5291
Tb14 Tb 0.7500 0.7791 0.0291
Tb15 Tb 0.7791 0.0291 0.7500
Tb16 Tb 0.9709 0.2500 0.2209
N1 N 0.0106 0.0376 0.2700
N2 N 0.0270 0.4894 0.7594
N3 N 0.0376 0.2700 0.0106
N4 N 0.2300 0.2676 0.7406
N5 N 0.2324 0.4624 0.4730
N6 N 0.2406 0.9730 0.5106
N7 N 0.2594 0.7700 0.7324
N8 N 0.2676 0.7406 0.2300
N9 N 0.2700 0.0106 0.0376
N10 N 0.4624 0.4730 0.2324
N11 N 0.4730 0.2324 0.4624
N12 N 0.4894 0.7594 0.0270
N13 N 0.5106 0.2406 0.9730
N14 N 0.5270 0.7676 0.5376
N15 N 0.5376 0.5270 0.7676
N16 N 0.7300 0.9894 0.9624
N17 N 0.7324 0.2594 0.7700
N18 N 0.7406 0.2300 0.2676
N19 N 0.7594 0.0270 0.4894
N20 N 0.7676 0.5376 0.5270
N21 N 0.7700 0.7324 0.2594
N22 N 0.9624 0.7300 0.9894
N23 N 0.9730 0.5106 0.2406
N24 N 0.9894 0.9624 0.7300
```

Peak list (10 most intense, 2θ from 5° to 70°, sorted by position)
| 2θ/deg | d/Å | Rel. int. |
| --- | --- | --- |
| 19.89 | 4.464 | 8 |
| 28.27 | 3.157 | 100 |
| 32.76 | 2.734 | 37 |
| 34.81 | 2.577 | 5 |
| 42.14 | 2.145 | 7 |
| 47.01 | 1.933 | 39 |
| 55.76 | 1.649 | 35 |
| 57.13 | 1.612 | 5 |
| 58.48 | 1.578 | 8 |
| 68.67 | 1.367 | 5 |

=====

# 2
# LiCu6
Simulated powder diffraction line list, Cu Kα, 1.54184 Å. Input: a GGA-PBE-relaxed structure.
No peak broadening, texture or thermal motion is included.

Crystal structure
```
data_LiCu6
_cell_length_a 4.4255
_cell_length_b 4.4255
_cell_length_c 4.4255
_cell_angle_alpha 99.52
_cell_angle_beta 99.52
_cell_angle_gamma 99.52
_symmetry_space_group_name_H-M 'P 1'
_symmetry_Int_Tables_number 1
_symmetry_space_group_name_Hall 'P 1'
loop_
_atom_site_label
_atom_site_type_symbol
_atom_site_fract_x
_atom_site_fract_y
_atom_site_fract_z
Li1 Li 0.0000 0.0000 0.0000
Cu1 Cu 0.1428 0.2918 0.5756
Cu2 Cu 0.2918 0.5756 0.1428
Cu3 Cu 0.4244 0.8572 0.7082
Cu4 Cu 0.5756 0.1428 0.2918
Cu5 Cu 0.7082 0.4244 0.8572
Cu6 Cu 0.8572 0.7082 0.4244
```

Peak list (10 most intense, 2θ from 5° to 70°, sorted by position)
| 2θ/deg | d/Å | Rel. int. |
| --- | --- | --- |
| 20.76 | 4.278 | 13 |
| 26.38 | 3.378 | 8 |
| 32.40 | 2.763 | 3 |
| 33.81 | 2.651 | 2 |
| 42.25 | 2.139 | 2 |
| 43.36 | 2.087 | 100 |
| 50.50 | 1.807 | 47 |
| 51.41 | 1.777 | 2 |
| 58.77 | 1.571 | 1 |
| 65.49 | 1.425 | 1 |

=====

# 3
# Ba4ZnRe2O12
Simulated powder diffraction line list, Cu Kα, 1.54184 Å. Input: a GGA-PBE-relaxed structure.
No peak broadening, texture or thermal motion is included.

Crystal structure
```
data_Ba4ZnRe2O12
_cell_length_a 9.8128
_cell_length_b 9.8128
_cell_length_c 9.8128
_cell_angle_alpha 33.89
_cell_angle_beta 33.89
_cell_angle_gamma 33.89
_symmetry_space_group_name_H-M 'P 1'
_symmetry_Int_Tables_number 1
_symmetry_space_group_name_Hall 'P 1'
loop_
_atom_site_label
_atom_site_type_symbol
_atom_site_fract_x
_atom_site_fract_y
_atom_site_fract_z
Ba1 Ba 0.1309 0.1309 0.1309
Ba2 Ba 0.2916 0.2916 0.2916
Ba3 Ba 0.7084 0.7084 0.7084
Ba4 Ba 0.8691 0.8691 0.8691
Zn1 Zn 0.0000 0.0000 0.0000
Re1 Re 0.4198 0.4198 0.4198
Re2 Re 0.5802 0.5802 0.5802
O1 O 0.1385 0.6135 0.6135
O2 O 0.2196 0.2196 0.6921
O3 O 0.2196 0.6921 0.2196
O4 O 0.3079 0.7804 0.7804
O5 O 0.3865 0.3865 0.8615
O6 O 0.3865 0.8615 0.3865
O7 O 0.6135 0.1385 0.6135
O8 O 0.6135 0.6135 0.1385
O9 O 0.6921 0.2196 0.2196
O10 O 0.7804 0.3079 0.7804
O11 O 0.7804 0.7804 0.3079
O12 O 0.8615 0.3865 0.3865
```

Peak list (10 most intense, 2θ from 5° to 70°, sorted by position)
| 2θ/deg | d/Å | Rel. int. |
| --- | --- | --- |
| 18.19 | 4.876 | 12 |
| 28.86 | 3.093 | 100 |
| 31.28 | 2.860 | 92 |
| 43.08 | 2.100 | 52 |
| 49.58 | 1.839 | 14 |
| 54.19 | 1.693 | 34 |
| 55.67 | 1.651 | 18 |
| 59.76 | 1.547 | 16 |
| 65.25 | 1.430 | 17 |
| 69.01 | 1.361 | 17 |

=====

# 4
# Pu2Sc
Simulated powder diffraction line list, Cu Kα, 1.54184 Å. Input: a GGA-PBE-relaxed structure.
No peak broadening, texture or thermal motion is included.

Crystal structure
```
data_Pu2Sc
_cell_length_a 9.3462
_cell_length_b 9.3462
_cell_length_c 9.3462
_cell_angle_alpha 60.00
_cell_angle_beta 60.00
_cell_angle_gamma 60.00
_symmetry_space_group_name_H-M 'P 1'
_symmetry_Int_Tables_number 1
_symmetry_space_group_name_Hall 'P 1'
loop_
_atom_site_label
_atom_site_type_symbol
_atom_site_fract_x
_atom_site_fract_y
_atom_site_fract_z
Pu1 Pu 0.0000 0.0000 0.0000
Pu2 Pu 0.0000 0.0000 0.5000
Pu3 Pu 0.0000 0.5000 0.0000
Pu4 Pu 0.5000 0.0000 0.0000
Sc1 Sc 0.1250 0.1250 0.1250
Sc2 Sc 0.8750 0.8750 0.8750
```

Peak list (10 most intense, 2θ from 5° to 70°, sorted by position)
| 2θ/deg | d/Å | Rel. int. |
| --- | --- | --- |
| 11.60 | 7.631 | 100 |
| 22.31 | 3.985 | 39 |
| 23.31 | 3.816 | 63 |
| 26.98 | 3.304 | 27 |
| 29.46 | 3.032 | 35 |
| 35.28 | 2.544 | 17 |
| 38.53 | 2.337 | 32 |
| 40.37 | 2.234 | 30 |
| 45.52 | 1.993 | 34 |
| 49.23 | 1.851 | 17 |